(1)
FePd: simulated powder diffraction line list (Cu Kα, 1.54184 Å), based on DFT lattice parameters and positions (GGA-PBE).

Most intense lines, 10° ≤ 2θ ≤ 90°, in order of falling intensity:
- d 2.205, I = 100
- d 1.920, I = 32
- d 1.156, I = 23
- d 1.347, I = 19
- d 1.889, I = 15
- d 1.142, I = 11
- d 1.103, I = 10
- d 1.358, I = 10

Structural model:
Unit cell a=2.716 b=2.716 c=3.777 alpha=90.00 beta=90.00 gamma=90.00
Space group P4/mmm (No. 123)
Symmetry-distinct sites (fractional):
Fe (0.000, 0.000, 0.000) (multiplicity 1)
Pd (0.500, 0.500, 0.500) (multiplicity 1)

(2)
Pr4Fe: simulated powder diffraction line list (Cu Kα, 1.54184 Å), based on DFT lattice parameters and positions (GGA-PBE).

Most intense lines, 10° ≤ 2θ ≤ 90°, in order of falling intensity:
- d 3.197, I = 100
- d 1.958, I = 43
- d 1.670, I = 41
- d 2.769, I = 40
- d 1.270, I = 15
- d 1.130, I = 12
- d 1.238, I = 11
- d 1.598, I = 9

Structural model:
Unit cell a=11.074 b=11.074 c=11.074 alpha=90.00 beta=90.00 gamma=90.00
Space group Fd-3m (No. 227, origin choice 2)
Symmetry-distinct sites (fractional):
Pr (0.008, 0.008, 0.242) (multiplicity 32)
Fe (0.125, 0.125, 0.625) (multiplicity 8)

(3)
Pr2FeSi2Ru: simulated powder diffraction line list (Cu Kα, 1.54184 Å), based on DFT lattice parameters and positions (GGA-PBE).

Most intense lines, 10° ≤ 2θ ≤ 90°, in order of falling intensity:
- d 3.583, I = 100
- d 2.258, I = 91
- d 2.689, I = 76
- d 2.715, I = 69
- d 2.080, I = 63
- d 1.645, I = 34
- d 1.799, I = 30
- d 1.558, I = 28

Structural model:
Unit cell a=4.161 b=4.161 c=7.048 alpha=90.00 beta=90.00 gamma=90.00
Space group P-4m2 (No. 115)
Symmetry-distinct sites (fractional):
Pr (0.000, 0.500, 0.182) (multiplicity 2)
Fe (0.000, 0.000, 0.500) (multiplicity 1)
Si (0.000, 0.500, 0.667) (multiplicity 2)
Ru (0.500, 0.500, 0.500) (multiplicity 1)

(4)
PrFe4Sb12: simulated powder diffraction line list (Cu Kα, 1.54184 Å), based on DFT lattice parameters and positions (GGA-PBE).

Most intense lines, 10° ≤ 2θ ≤ 90°, in order of falling intensity:
- d 2.907, I = 100
- d 2.457, I = 50
- d 1.803, I = 22
- d 1.877, I = 22
- d 1.356, I = 19
- d 1.577, I = 17
- d 1.532, I = 12
- d 2.056, I = 11

Structural model:
Unit cell a=9.194 b=9.194 c=9.194 alpha=90.00 beta=90.00 gamma=90.00
Space group Im-3 (No. 204)
Symmetry-distinct sites (fractional):
Pr (0.000, 0.000, 0.000) (multiplicity 2)
Fe (0.250, 0.250, 0.250) (multiplicity 8)
Sb (0.000, 0.335, 0.163) (multiplicity 24)

(5)
PrFeSb3: simulated powder diffraction line list (Cu Kα, 1.54184 Å), based on DFT lattice parameters and positions (GGA-PBE).

Most intense lines, 10° ≤ 2θ ≤ 90°, in order of falling intensity:
- d 2.590, I = 100
- d 2.193, I = 64
- d 2.827, I = 56
- d 2.758, I = 45
- d 3.058, I = 40
- d 2.486, I = 37
- d 3.209, I = 37
- d 2.972, I = 28

Structural model:
Unit cell a=12.838 b=6.298 c=18.328 alpha=90.00 beta=90.00 gamma=90.00
Space group Pbcm (No. 57)
Symmetry-distinct sites (fractional):
Pr (0.194, 0.057, 0.250) (multiplicity 4)
Pr (0.203, 0.525, 0.083) (multiplicity 8)
Fe (0.396, 0.250, 0.000) (multiplicity 4)
Fe (0.400, 0.672, 0.679) (multiplicity 8)
Sb (0.003, 0.706, 0.666) (multiplicity 8)
Sb (0.004, 0.250, 0.000) (multiplicity 4)
Sb (0.281, 0.023, 0.084) (multiplicity 8)
Sb (0.284, 0.553, 0.250) (multiplicity 4)
Sb (0.441, 0.180, 0.250) (multiplicity 4)
Sb (0.471, 0.540, 0.086) (multiplicity 8)

(6)
PrFeSb3: simulated powder diffraction line list (Cu Kα, 1.54184 Å), based on DFT lattice parameters and positions (GGA-PBE).

Most intense lines, 10° ≤ 2θ ≤ 90°, in order of falling intensity:
- d 2.587, I = 100
- d 2.170, I = 72
- d 2.787, I = 62
- d 2.755, I = 46
- d 2.485, I = 31
- d 3.222, I = 29
- d 3.049, I = 28
- d 1.656, I = 25

Structural model:
Unit cell a=12.888 b=6.183 c=12.187 alpha=90.00 beta=90.00 gamma=90.00
Space group Pbcm (No. 57)
Symmetry-distinct sites (fractional):
Pr (0.197, 0.224, 0.250) (multiplicity 4)
Pr (0.203, 0.750, 0.000) (multiplicity 4)
Fe (0.401, 0.037, 0.638) (multiplicity 8)
Sb (0.003, 0.013, 0.624) (multiplicity 8)
Sb (0.285, 0.250, 0.000) (multiplicity 4)
Sb (0.288, 0.732, 0.250) (multiplicity 4)
Sb (0.443, 0.113, 0.250) (multiplicity 4)
Sb (0.472, 0.750, 0.000) (multiplicity 4)

(7)
PrFeSi2: simulated powder diffraction line list (Cu Kα, 1.54184 Å), based on DFT lattice parameters and positions (GGA-PBE).

Most intense lines, 10° ≤ 2θ ≤ 90°, in order of falling intensity:
- d 2.573, I = 100
- d 2.630, I = 44
- d 3.646, I = 37
- d 2.844, I = 28
- d 2.324, I = 26
- d 2.064, I = 23
- d 2.017, I = 21
- d 4.012, I = 21

Structural model:
Unit cell a=4.128 b=17.061 c=4.033 alpha=90.00 beta=90.00 gamma=90.00
Space group Cmcm (No. 63)
Symmetry-distinct sites (fractional):
Pr (0.000, 0.107, 0.250) (multiplicity 4)
Fe (0.000, 0.250, 0.750) (multiplicity 4)
Si (0.000, 0.310, 0.250) (multiplicity 4)
Si (0.000, 0.462, 0.250) (multiplicity 4)

(8)
Pr6Fe13Si: simulated powder diffraction line list (Cu Kα, 1.54184 Å), based on DFT lattice parameters and positions (GGA-PBE).

Most intense lines, 10° ≤ 2θ ≤ 90°, in order of falling intensity:
- d 2.843, I = 100
- d 3.261, I = 68
- d 2.543, I = 65
- d 2.353, I = 56
- d 1.798, I = 39
- d 1.944, I = 38
- d 2.329, I = 38
- d 2.096, I = 32

Structural model:
Unit cell a=8.042 b=8.042 c=23.207 alpha=90.00 beta=90.00 gamma=90.00
Space group I4/mcm (No. 140)
Symmetry-distinct sites (fractional):
Pr (0.000, 0.000, 0.109) (multiplicity 8)
Pr (0.167, 0.333, 0.189) (multiplicity 16)
Fe (0.000, 0.500, 0.000) (multiplicity 4)
Fe (0.066, 0.209, 0.500) (multiplicity 16)
Fe (0.113, 0.387, 0.406) (multiplicity 16)
Fe (0.179, 0.321, 0.059) (multiplicity 16)
Si (0.000, 0.000, 0.250) (multiplicity 4)